Starting from the GGA-PBE geometry in Alexandria, the powder diffraction line list of NaTlSN2 was computed for Cu Ka.
Peak positions follow from Bragg's law for the DFT cell and can differ from measured ones.

Largest 10 diffraction maxima, sorted by position, 10 to 80 degrees two-theta:
two_theta	I_rel	index
16.46	48	0 0 1
19.67	100	1 0 0
25.75	85	1 0 1
27.95	51	1 1 0
33.26	25	0 0 2
38.94	35	1 0 2
39.94	30	2 0 0
43.99	31	1 1 2
48.14	33	2 1 1
52.93	26	2 0 2

Atomic structure:
abc: 4.514 4.514 5.387
angles: 90.00 90.00 90.00
Space group P4/mmm (No. 123)
Symmetry-distinct sites (fractional):
Na  0.000  0.000  0.000
Tl  0.500  0.500  0.500
S  0.500  0.500  0.000
N  0.000  0.500  0.500

Starting from the GGA-PBE geometry in Alexandria, the powder diffraction line list of NaTlS2N was computed for Cu Ka.
Peak positions follow from Bragg's law for the DFT cell and can differ from measured ones.

Largest 10 diffraction maxima, sorted by position, 10 to 80 degrees two-theta:
two_theta	I_rel	index
16.89	100	1 0 0
19.54	53	0 0 1
23.97	35	1 1 0
25.94	89	1 0 1
34.16	46	2 0 0
38.34	26	2 1 0
39.66	50	0 0 2
43.39	65	2 1 1
53.33	40	2 0 2
56.35	28	3 0 1

Atomic structure:
abc: 5.250 5.250 4.543
angles: 90.00 90.00 90.00
Space group P4/mmm (No. 123)
Symmetry-distinct sites (fractional):
Na  0.000  0.000  0.000
Tl  0.500  0.500  0.500
S  0.000  0.500  0.500
N  0.500  0.500  0.000